Simulated XRD peak list
Compound: KYHf
Radiation: Cu Kα (λ = 1.5418 Å)
Structure: a DFT-relaxed cell (PBE, Alexandria)
Peak positions follow from Bragg's law for the DFT cell and can differ from measured ones.

Cell and atoms:
Cell lengths 3.440, 5.145, 13.044 Å; angles 90.00, 97.08, 90.00 degrees
Fractional coordinates of all 6 atoms:
1 K 0.172 0.250 0.369
2 K 0.828 0.750 0.631
3 Y 0.427 0.250 0.844
4 Y 0.573 0.750 0.156
5 Hf 0.025 0.250 0.053
6 Hf 0.975 0.750 0.947

Top 10 peaks for 10° ≤ 2θ ≤ 90°, low angle first:
2θ = 13.7°, I = 65.9, (0 0 2)
2θ = 27.0°, I = 68.9, (0 1 3)
2θ = 31.1°, I = 48.6, (1 0 2)
2θ = 31.3°, I = 49.5, (1 0 -3)
2θ = 31.5°, I = 45.9, (1 1 -1)
2θ = 32.7°, I = 100.0, (0 1 4)
2θ = 34.9°, I = 68.0, (0 2 0)
2θ = 35.6°, I = 64.3, (0 2 1)
2θ = 35.8°, I = 50.7, (1 1 2)
2θ = 38.9°, I = 56.8, (0 1 5)